Starting from the GGA-PBE geometry in the Materials Project, the powder X-ray diffraction pattern of Na2Si2Ge2SO12 was computed for a wavelength of 1.5418 Å.
Lines closer than 0.1° are merged.

Cell and atoms:
Lattice parameters (Å, degrees): 8.594 8.594 8.810 119.29 119.29 60.10
Element x y z (fractional)
Na 0.064 0.936 0.500
Na 0.328 0.815 0.242
Na 0.815 0.328 0.742
Na 0.936 0.064 0.000
Si 0.061 0.282 0.489
Si 0.282 0.061 0.989
Si 0.768 0.847 0.489
Si 0.847 0.768 0.989
Ge 0.143 0.682 0.804
Ge 0.459 0.963 0.680
Ge 0.682 0.143 0.304
Ge 0.963 0.459 0.180
S 0.357 0.558 0.492
S 0.558 0.357 0.992
O 0.037 0.297 0.301
O 0.041 0.750 0.975
O 0.082 0.240 0.009
O 0.094 0.464 0.671
O 0.185 0.542 0.325
O 0.240 0.082 0.509
O 0.255 0.871 0.968
O 0.297 0.037 0.801
O 0.333 0.584 0.658
O 0.373 0.728 0.503
O 0.394 0.529 0.972
O 0.464 0.094 0.171
O 0.529 0.394 0.472
O 0.542 0.185 0.825
O 0.580 0.877 0.514
O 0.584 0.333 0.158
O 0.662 0.808 0.812
O 0.728 0.373 0.003
O 0.750 0.041 0.475
O 0.808 0.662 0.312
O 0.839 0.959 0.173
O 0.871 0.255 0.468
O 0.877 0.580 0.014
O 0.959 0.839 0.673

Peak list (10 most intense, 10° ≤ 2θ ≤ 80°, low angle first)
Position (°2θ)	I (rel.)
14.40	30
20.19	83
20.66	89
24.05	78
29.05	56
32.07	20
32.26	100
36.19	45
49.21	21
53.12	19